Starting from a PBE-relaxed structure, the X-ray diffraction stick pattern of TbF3 was calculated for copper Kα.
Intensities are scaled so that the largest is 100.

Principal peaks in the range 2θ = 5–70°, most intense first:
2theta	I_rel
27.5	100
30.5	72
25.6	67
24.3	64
46.3	42
48.3	36
46.9	28
35.6	26

Cell and atoms:
```
TbF3
1.0
6.465 0.000 0.000
0.000 6.966 0.000
0.000 0.000 4.446
Tb F
4 12
Cartesian
0.850 1.741 0.273
2.383 5.224 2.496
4.082 1.741 1.950
5.615 5.224 4.173
0.146 5.224 1.830
1.062 3.923 3.904
1.062 6.525 3.904
2.170 0.440 1.681
2.170 3.043 1.681
3.086 1.741 4.053
3.379 5.224 0.393
4.294 3.923 2.765
4.294 6.525 2.765
5.403 0.440 0.542
5.403 3.043 0.542
6.319 1.741 2.616
```

Starting from a PBE-relaxed structure, the X-ray diffraction stick pattern of Ba2YGaTe5 was calculated for copper Kα.
Intensities are scaled so that the largest is 100.

Principal peaks in the range 2θ = 5–70°, most intense first:
2theta	I_rel
27.5	100
26.9	46
32.0	34
39.9	27
26.7	24
44.7	23
29.4	19
48.7	18

Cell and atoms:
```
Ba2YGaTe5
1.0
2.261 -10.223 0.000
2.261 10.223 0.000
0.000 0.000 14.351
Ba Y Ga Te
4 2 2 10
Cartesian
2.261 7.750 7.176
2.261 7.617 1.986
2.261 -7.617 9.162
2.261 -7.750 0.000
2.261 6.029 12.028
2.261 -6.029 4.852
2.261 1.208 3.468
2.261 -1.208 10.644
2.261 9.293 12.196
2.261 4.172 6.921
2.261 3.819 2.651
2.261 3.024 11.776
2.261 0.034 8.343
2.261 -0.034 1.168
2.261 -3.024 4.601
2.261 -3.819 9.827
2.261 -4.172 14.096
2.261 -9.293 5.021
```

Starting from a PBE-relaxed structure, the X-ray diffraction stick pattern of ZrTaCN was calculated for copper Kα.
Intensities are scaled so that the largest is 100.

Principal peaks in the range 2θ = 5–70°, most intense first:
2theta	I_rel
34.1	100
39.5	94
33.8	34
57.3	31
56.9	31
68.2	28
16.7	23
68.4	14

Cell and atoms:
```
ZrTaCN
1.0
1.607 0.928 5.299
-1.607 0.928 5.299
0.000 -1.856 5.299
Zr Ta C N
1 1 1 1
Cartesian
0.000 0.000 0.000
0.000 0.000 8.058
0.000 0.000 3.940
0.000 0.000 12.056
```

Starting from a PBE-relaxed structure, the X-ray diffraction stick pattern of Mn2TeSe was calculated for copper Kα.
Intensities are scaled so that the largest is 100.

Principal peaks in the range 2θ = 5–70°, most intense first:
2theta	I_rel
32.2	100
46.3	35
45.9	35
57.5	18
27.8	12
67.3	11
56.8	6
27.5	4

Cell and atoms:
```
Mn2TeSe
1.0
1.959 1.131 6.479
-1.959 1.131 6.479
0.000 -2.262 6.479
Mn Te Se
2 1 1
Cartesian
0.000 0.000 4.717
0.000 0.000 14.719
0.000 0.000 0.000
0.000 0.000 9.718
```

Starting from a PBE-relaxed structure, the X-ray diffraction stick pattern of CdCuF4 was calculated for copper Kα.
Intensities are scaled so that the largest is 100.

Principal peaks in the range 2θ = 5–70°, most intense first:
2theta	I_rel
28.8	100
48.4	36
56.3	29
32.9	18
47.2	17
58.3	14
59.7	9
17.0	6

Cell and atoms:
```
CdCuF4
1.0
-2.721 2.721 5.213
2.721 -2.721 5.213
2.721 2.721 -5.213
Cd Cu F
2 2 8
Cartesian
0.000 0.000 2.606
0.000 0.000 7.819
2.721 0.000 0.000
0.000 2.721 0.000
3.703 0.981 -1.332
0.981 1.740 -1.332
3.703 0.981 1.332
0.981 1.740 1.332
1.740 0.981 3.881
-0.981 1.740 3.881
1.740 0.981 6.545
-0.981 1.740 6.545
```

Please write out number 3 again, unchanged.
Starting from a PBE-relaxed structure, the X-ray diffraction stick pattern of ZrTaCN was calculated for copper Kα.
Intensities are scaled so that the largest is 100.

Principal peaks in the range 2θ = 5–70°, most intense first:
2theta	I_rel
34.1	100
39.5	94
33.8	34
57.3	31
56.9	31
68.2	28
16.7	23
68.4	14

Cell and atoms:
```
ZrTaCN
1.0
1.607 0.928 5.299
-1.607 0.928 5.299
0.000 -1.856 5.299
Zr Ta C N
1 1 1 1
Cartesian
0.000 0.000 0.000
0.000 0.000 8.058
0.000 0.000 3.940
0.000 0.000 12.056
```